Diffraction record for HPbBrO. The X-ray powder pattern is computed, not measured: it uses a crystal structure in the Materials Project, relaxed with PBE and Cu Kα X-rays.
No peak broadening, texture or thermal motion is included.

The 10 most intense peaks (10 to 80 degrees two-theta), in order of falling intensity:
hkl 1 1 1, 2θ 26.1, I = 100; hkl 1 0 2, 2θ 21.1, I = 58; hkl 0 1 3, 2θ 34.1, I = 52; hkl 1 1 2, 2θ 30.2, I = 41; hkl 2 1 1, 2θ 33.4, I = 38; hkl 4 1 0, 2θ 53.6, I = 28; hkl 3 0 1, 2θ 37.0, I = 25; hkl 1 0 4, 2θ 37.3, I = 24; hkl 2 0 1, 2θ 25.3, I = 23; hkl 2 1 3, 2θ 42.0, I = 22

Atomic structure:
```
16
Lattice="7.505 0.000 0.000 0.000 4.149 0.000 0.000 0.000 10.179" Properties=species:S:1:pos:R:3 pbc="T T T"
H 1.515 1.037 1.162
H 2.237 3.111 6.252
H 5.268 1.037 3.927
H 5.989 3.111 9.017
Pb 1.468 3.111 9.322
Pb 2.284 1.037 4.233
Pb 5.220 3.111 5.946
Pb 6.037 1.037 0.857
Br 0.408 1.037 6.920
Br 3.344 3.111 1.831
Br 4.160 1.037 8.348
Br 7.097 3.111 3.259
O 0.918 1.037 0.390
O 2.834 3.111 5.480
O 4.671 1.037 4.699
O 6.587 3.111 9.789
```